Entry 1:
This entry pairs a crystal structure of TbGa2Ni8 with its simulated powder diffractogram. Radiation: Cu Kα. Structure: the GGA-PBE geometry in Alexandria.
Lines closer than 0.1° are merged.

Cell and atoms:
a b c (Å): 5.8507 5.8507 4.8460
angles (deg): 90.00 90.00 90.00
Space group P4/mmm (No. 123)
Asymmetric unit:
Tb 0.0000 0.0000 0.0000 x1
Ga 0.0000 0.5000 0.5000 x2
Ni 0.2993 0.2993 0.2432 x8

Largest 10 diffraction maxima, by intensity, 10° ≤ 2θ ≤ 90°:
48.80 deg, I = 100
28.37 deg, I = 81
43.76 deg, I = 56
34.27 deg, I = 43
46.57 deg, I = 36
40.29 deg, I = 33
23.84 deg, I = 30
69.75 deg, I = 30
52.98 deg, I = 27
39.13 deg, I = 19



Entry 2:
This entry pairs a crystal structure of LiNb2Hg2Se6 with its simulated powder diffractogram. Radiation: Cu Kα. Structure: the GGA-PBE geometry in Alexandria.
Lines closer than 0.1° are merged.

Cell and atoms:
a b c (Å): 6.3809 11.0563 8.3983
angles (deg): 90.00 108.53 90.00
Space group C2/m (No. 12)
Asymmetric unit:
Li 0.0000 0.0000 0.0000 x2
Nb 0.0000 0.3358 0.0000 x4
Hg 0.0000 0.1850 0.5000 x4
Se 0.2396 0.5000 0.1979 x4
Se 0.2488 0.3265 0.8063 x8

Largest 10 diffraction maxima, by intensity, 10° ≤ 2θ ≤ 90°:
32.27 deg, I = 100
30.92 deg, I = 51
16.03 deg, I = 38
40.68 deg, I = 35
17.30 deg, I = 31
49.57 deg, I = 30
33.77 deg, I = 26
33.24 deg, I = 25
59.46 deg, I = 22
42.91 deg, I = 20